Computed powder X-ray diffraction pattern
Compound: HoMnAs3
Radiation: CuKα
Structure: a structure optimized by DFT (GGA-PBE)

Structural model:
Cell: 11.9996 5.6606 5.5246 Å, 90.00 90.00 90.00°
Space group Pbcm (No. 57)
Symmetry-distinct sites (fractional):
Ho1 0.1876 0.0043 0.2500 x4
Mn1 0.4113 0.7500 0.0000 x4
As1 0.0015 0.7500 0.0000 x4
As2 0.2785 0.5019 0.2500 x4
As3 0.4312 0.1097 0.2500 x4

Largest 10 diffraction maxima, sorted by position, 15° ≤ 2θ ≤ 90°:
two_theta  I/Imax  (hkl)
23.69  43  1 1 1
27.01  30  2 1 1
35.06  64  2 2 0
35.79  44  2 0 2
37.47  24  5 0 0
37.64  100  4 1 1
38.98  24  3 2 0
39.65  27  3 0 2
45.91  57  0 2 2
61.29  24  4 1 3